PaC3N6: theoretical powder diffractogram (Cu Kα, 1.54184 Å), based on the PBE geometry in Alexandria.
Intensities are scaled so that the largest is 100.

Principal peaks in the range 2θ = 10–80°, most intense first:
h k l  d [Å]  I (rel.)
1 1 0  4.935  100
2 0 0  3.490  44
3 1 0  2.207  36
2 1 1  2.849  33
3 2 1  1.865  32
2 2 0  2.468  24
4 3 1  1.369  18
3 3 0  1.645  18
4 2 0  1.561  12
3 3 2  1.488  10

Crystal structure
Lattice parameters (Å, degrees): 6.979 6.979 6.979 90.00 90.00 90.00
Space group Im-3m (No. 229)
Asymmetric unit:
1 Pa 0.000 0.000 0.000
2 C 0.000 0.000 0.500
3 N 0.000 0.000 0.325